Entry 1:
This entry pairs a crystal structure of Rb2PaSn2Se6 with its computed powder diffractogram. Radiation: Cu Kα (λ = 1.5418 Å). Structure: a cell relaxed with PBE.
Peak positions follow from Bragg's law for the DFT cell and can differ from measured ones.

Cell and atoms:
```
data_Rb2PaSn2Se6
_chemical_formula_sum 'Rb4 Pa2 Sn4 Se12'
_cell_length_a 13.080
_cell_length_b 7.903
_cell_length_c 8.808
_cell_angle_alpha 90.00
_cell_angle_beta 118.75
_cell_angle_gamma 90.00
_space_group_name_H-M_alt 'C 1 2/m 1'
_space_group_IT_number 12
loop_
_space_group_symop_operation_xyz
'x,y,z'
'-x,-y,-z'
'-x,y,-z'
'x,-y,z'
'x+1/2,y+1/2,z'
'-x+1/2,-y+1/2,-z'
'-x+1/2,y+1/2,-z'
'x+1/2,-y+1/2,z'
loop_
_atom_site_label
_atom_site_type_symbol
_atom_site_fract_x
_atom_site_fract_y
_atom_site_fract_z
Rb1 Rb 0.201 0.000 0.166
Pa1 Pa 0.000 0.000 0.500
Sn1 Sn 0.049 0.500 0.195
Se1 Se 0.061 0.237 0.770
Se2 Se 0.227 0.000 0.570
```

Peak list (8 most intense, 2θ = 10–90°, low angle first)
| (hkl) | 2theta | d_spacing | Rel. int. |
| --- | --- | --- | --- |
| 1 1 -1 | 15.22 | 5.820 | 38 |
| 2 0 0 | 15.45 | 5.734 | 27 |
| 0 2 0 | 22.50 | 3.952 | 21 |
| 1 1 -2 | 23.34 | 3.812 | 100 |
| 2 2 -2 | 30.72 | 2.910 | 23 |
| 1 3 -2 | 40.01 | 2.253 | 27 |
| 4 2 -3 | 40.99 | 2.202 | 28 |
| 0 4 0 | 45.96 | 1.975 | 23 |

Entry 2:
This entry pairs a crystal structure of Rb2PaTlSe5 with its computed powder diffractogram. Radiation: Cu Kα (λ = 1.5418 Å). Structure: a cell relaxed with PBE.
Peak positions follow from Bragg's law for the DFT cell and can differ from measured ones.

Cell and atoms:
```
data_Rb2PaTlSe5
_chemical_formula_sum 'Rb8 Pa4 Tl4 Se20'
_cell_length_a 4.310
_cell_length_b 20.184
_cell_length_c 14.617
_cell_angle_alpha 90.00
_cell_angle_beta 90.00
_cell_angle_gamma 90.00
_space_group_name_H-M_alt 'C m c 21'
_space_group_IT_number 36
loop_
_space_group_symop_operation_xyz
'x,y,z'
'-x,-y,z+1/2'
'-x,y,z'
'x,-y,z+1/2'
'x+1/2,y+1/2,z'
'-x+1/2,-y+1/2,z+1/2'
'-x+1/2,y+1/2,z'
'x+1/2,-y+1/2,z+1/2'
loop_
_atom_site_label
_atom_site_type_symbol
_atom_site_fract_x
_atom_site_fract_y
_atom_site_fract_z
Rb1 Rb 0.000 0.115 0.000
Rb2 Rb 0.000 0.131 0.637
Pa1 Pa 0.000 0.209 0.338
Tl1 Tl 0.000 0.448 0.750
Se1 Se 0.000 0.064 0.367
Se2 Se 0.000 0.294 0.960
Se3 Se 0.000 0.305 0.710
Se4 Se 0.000 0.338 0.323
Se5 Se 0.000 0.499 0.093
```

Peak list (8 most intense, 2θ = 10–90°, low angle first)
| (hkl) | 2theta | d_spacing | Rel. int. |
| --- | --- | --- | --- |
| 0 2 1 | 10.65 | 8.305 | 62 |
| 0 0 2 | 12.11 | 7.308 | 58 |
| 0 2 2 | 14.97 | 5.919 | 37 |
| 0 6 1 | 27.20 | 3.278 | 75 |
| 1 1 3 | 27.99 | 3.188 | 100 |
| 2 0 0 | 41.94 | 2.154 | 35 |
| 1 7 4 | 45.25 | 2.004 | 36 |
| 2 6 1 | 50.71 | 1.800 | 33 |

Entry 3:
This entry pairs a crystal structure of Rb2PaSnTe4 with its computed powder diffractogram. Radiation: Cu Kα (λ = 1.5418 Å). Structure: a cell relaxed with PBE.
Peak positions follow from Bragg's law for the DFT cell and can differ from measured ones.

Cell and atoms:
```
data_Rb2PaSnTe4
_chemical_formula_sum 'Rb2 Pa1 Sn1 Te4'
_cell_length_a 8.150
_cell_length_b 4.619
_cell_length_c 8.812
_cell_angle_alpha 90.00
_cell_angle_beta 107.00
_cell_angle_gamma 90.00
_space_group_name_H-M_alt 'P 1 2/m 1'
_space_group_IT_number 10
loop_
_space_group_symop_operation_xyz
'x,y,z'
'-x,-y,-z'
'-x,y,-z'
'x,-y,z'
loop_
_atom_site_label
_atom_site_type_symbol
_atom_site_fract_x
_atom_site_fract_y
_atom_site_fract_z
Rb1 Rb 0.000 0.000 0.000
Rb2 Rb 0.500 0.500 0.000
Pa1 Pa 0.000 0.500 0.500
Sn1 Sn 0.500 0.000 0.500
Te1 Te 0.224 0.000 0.698
Te2 Te 0.253 0.500 0.301
```

Peak list (8 most intense, 2θ = 10–90°, low angle first)
| (hkl) | 2theta | d_spacing | Rel. int. |
| --- | --- | --- | --- |
| 0 0 1 | 10.50 | 8.427 | 30 |
| 1 1 1 | 26.19 | 3.402 | 100 |
| 2 0 2 | 35.67 | 2.517 | 12 |
| 1 1 -3 | 36.31 | 2.474 | 21 |
| 3 1 -1 | 38.45 | 2.341 | 26 |
| 0 2 0 | 39.00 | 2.309 | 13 |
| 2 2 -2 | 47.61 | 1.910 | 13 |
| 4 2 0 | 62.38 | 1.489 | 11 |

Entry 4:
This entry pairs a crystal structure of Rb3PaTe3 with its computed powder diffractogram. Radiation: Cu Kα (λ = 1.5418 Å). Structure: a cell relaxed with PBE.
Peak positions follow from Bragg's law for the DFT cell and can differ from measured ones.

Cell and atoms:
```
data_Rb3PaTe3
_chemical_formula_sum 'Rb12 Pa4 Te12'
_cell_length_a 9.859
_cell_length_b 14.898
_cell_length_c 9.712
_cell_angle_alpha 90.00
_cell_angle_beta 108.99
_cell_angle_gamma 90.00
_space_group_name_H-M_alt 'C 1 2/m 1'
_space_group_IT_number 12
loop_
_space_group_symop_operation_xyz
'x,y,z'
'-x,-y,-z'
'-x,y,-z'
'x,-y,z'
'x+1/2,y+1/2,z'
'-x+1/2,-y+1/2,-z'
'-x+1/2,y+1/2,-z'
'x+1/2,-y+1/2,z'
loop_
_atom_site_label
_atom_site_type_symbol
_atom_site_fract_x
_atom_site_fract_y
_atom_site_fract_z
Rb1 Rb 0.000 0.168 0.000
Rb2 Rb 0.000 0.298 0.500
Rb3 Rb 0.101 0.500 0.885
Pa1 Pa 0.113 0.000 0.613
Te1 Te 0.172 0.000 0.321
Te2 Te 0.218 0.347 0.218
```

Peak list (8 most intense, 2θ = 10–90°, low angle first)
| (hkl) | 2theta | d_spacing | Rel. int. |
| --- | --- | --- | --- |
| 1 1 0 | 11.20 | 7.903 | 27 |
| 0 2 0 | 11.88 | 7.449 | 31 |
| 1 1 -1 | 12.60 | 7.024 | 59 |
| 2 0 -2 | 22.32 | 3.983 | 39 |
| 1 3 1 | 23.80 | 3.738 | 100 |
| 3 3 -2 | 34.23 | 2.620 | 22 |
| 0 6 0 | 36.18 | 2.483 | 24 |
| 2 4 -3 | 38.08 | 2.363 | 23 |

Entry 5:
This entry pairs a crystal structure of RbPa2Te4 with its computed powder diffractogram. Radiation: Cu Kα (λ = 1.5418 Å). Structure: a cell relaxed with PBE.
Peak positions follow from Bragg's law for the DFT cell and can differ from measured ones.

Cell and atoms:
```
data_RbPa2Te4
_chemical_formula_sum 'Rb2 Pa4 Te8'
_cell_length_a 19.432
_cell_length_b 4.392
_cell_length_c 7.333
_cell_angle_alpha 90.00
_cell_angle_beta 108.99
_cell_angle_gamma 90.00
_space_group_name_H-M_alt 'C 1 2/m 1'
_space_group_IT_number 12
loop_
_space_group_symop_operation_xyz
'x,y,z'
'-x,-y,-z'
'-x,y,-z'
'x,-y,z'
'x+1/2,y+1/2,z'
'-x+1/2,-y+1/2,-z'
'-x+1/2,y+1/2,-z'
'x+1/2,-y+1/2,z'
loop_
_atom_site_label
_atom_site_type_symbol
_atom_site_fract_x
_atom_site_fract_y
_atom_site_fract_z
Rb1 Rb 0.000 0.000 0.000
Pa1 Pa 0.247 0.500 0.727
Te1 Te 0.142 0.000 0.497
Te2 Te 0.156 0.500 0.008
```

Peak list (8 most intense, 2θ = 10–90°, low angle first)
| (hkl) | 2theta | d_spacing | Rel. int. |
| --- | --- | --- | --- |
| 1 1 1 | 25.30 | 3.520 | 66 |
| 4 0 -2 | 26.70 | 3.339 | 41 |
| 3 1 1 | 30.26 | 2.954 | 100 |
| 5 1 -1 | 31.13 | 2.873 | 29 |
| 6 0 -2 | 32.09 | 2.789 | 36 |
| 7 1 -1 | 38.40 | 2.344 | 37 |
| 0 2 0 | 41.10 | 2.196 | 24 |
| 3 1 -3 | 42.35 | 2.134 | 49 |

Entry 6:
This entry pairs a crystal structure of Rb3Th3PaTe8 with its computed powder diffractogram. Radiation: Cu Kα (λ = 1.5418 Å). Structure: a cell relaxed with PBE.
Peak positions follow from Bragg's law for the DFT cell and can differ from measured ones.

Cell and atoms:
```
data_Rb3Th3PaTe8
_chemical_formula_sum 'Rb9 Th9 Pa3 Te24'
_cell_length_a 8.8956
_cell_length_b 8.8956
_cell_length_c 26.9182
_cell_angle_alpha 90.00
_cell_angle_beta 90.00
_cell_angle_gamma 120.00
_space_group_name_H-M_alt 'R -3 m'
_space_group_IT_number 166
_space_group_name_Hall '-R 3 2"'
loop_
_atom_site_label
_atom_site_type_symbol
_atom_site_fract_x
_atom_site_fract_y
_atom_site_fract_z
Rb1 Rb 0.0000 0.5000 0.0000
Th1 Th 0.0000 0.5000 0.5000
Pa1 Pa 0.0000 0.0000 0.5000
Te1 Te 0.0000 0.0000 0.2369
Te2 Te 0.0023 0.5011 0.2353
```

Peak list (8 most intense, 2θ = 10–90°, low angle first)
| (hkl) | 2theta | d_spacing | Rel. int. |
| --- | --- | --- | --- |
| 0 2 4 | 26.67 | 3.343 | 100 |
| 0 2 7 | 32.91 | 2.721 | 20 |
| 2 0 8 | 35.42 | 2.534 | 40 |
| 2 2 0 | 40.57 | 2.224 | 35 |
| 2 0 11 | 43.83 | 2.066 | 13 |
| 4 0 4 | 49.21 | 1.852 | 19 |
| 2 2 12 | 58.44 | 1.579 | 14 |
| 2 4 4 | 65.61 | 1.423 | 16 |

Entry 7:
This entry pairs a crystal structure of PaReS with its computed powder diffractogram. Radiation: Cu Kα (λ = 1.5418 Å). Structure: a cell relaxed with PBE.
Peak positions follow from Bragg's law for the DFT cell and can differ from measured ones.

Cell and atoms:
```
data_PaReS
_chemical_formula_sum 'Pa2 Re2 S2'
_cell_length_a 4.059
_cell_length_b 4.664
_cell_length_c 6.893
_cell_angle_alpha 73.72
_cell_angle_beta 78.98
_cell_angle_gamma 88.74
_space_group_name_H-M_alt 'P -1'
_space_group_IT_number 2
loop_
_space_group_symop_operation_xyz
'x,y,z'
'-x,-y,-z'
loop_
_atom_site_label
_atom_site_type_symbol
_atom_site_fract_x
_atom_site_fract_y
_atom_site_fract_z
Pa1 Pa 0.179 0.362 0.245
Re1 Re 0.282 0.102 0.903
S1 S 0.338 0.780 0.433
```

Peak list (8 most intense, 2θ = 10–90°, low angle first)
| (hkl) | 2theta | d_spacing | Rel. int. |
| --- | --- | --- | --- |
| 0 0 1 | 13.64 | 6.492 | 79 |
| 0 1 -1 | 27.20 | 3.278 | 43 |
| 0 1 2 | 29.09 | 3.070 | 63 |
| 1 1 0 | 30.55 | 2.926 | 84 |
| 1 -1 1 | 33.22 | 2.697 | 100 |
| 1 1 2 | 33.91 | 2.643 | 61 |
| 0 2 1 | 38.71 | 2.326 | 65 |
| 1 0 -3 | 51.84 | 1.764 | 42 |

Entry 8:
This entry pairs a crystal structure of Pa3Re2Si3Tc with its computed powder diffractogram. Radiation: Cu Kα (λ = 1.5418 Å). Structure: a cell relaxed with PBE.
Peak positions follow from Bragg's law for the DFT cell and can differ from measured ones.

Cell and atoms:
```
data_Pa3Re2Si3Tc
_chemical_formula_sum 'Pa3 Re2 Si3 Tc1'
_cell_length_a 6.9003
_cell_length_b 6.9003
_cell_length_c 4.0272
_cell_angle_alpha 90.00
_cell_angle_beta 90.00
_cell_angle_gamma 120.00
_space_group_name_H-M_alt 'P -6 2 m'
_space_group_IT_number 189
_space_group_name_Hall 'P -6 -2'
loop_
_atom_site_label
_atom_site_type_symbol
_atom_site_fract_x
_atom_site_fract_y
_atom_site_fract_z
Pa1 Pa 0.0000 0.4218 0.0000
Re1 Re 0.3333 0.6667 0.5000
Si1 Si 0.0000 0.7647 0.5000
Tc1 Tc 0.0000 0.0000 0.0000
```

Peak list (8 most intense, 2θ = 10–90°, low angle first)
| (hkl) | 2theta | d_spacing | Rel. int. |
| --- | --- | --- | --- |
| 1 0 0 | 14.82 | 5.976 | 34 |
| 1 1 0 | 25.82 | 3.450 | 32 |
| 1 1 1 | 34.22 | 2.620 | 97 |
| 2 0 1 | 37.48 | 2.400 | 100 |
| 2 1 0 | 39.91 | 2.259 | 24 |
| 0 0 2 | 45.02 | 2.014 | 24 |
| 3 1 0 | 55.44 | 1.657 | 22 |
| 3 1 1 | 60.40 | 1.533 | 25 |

Entry 9:
This entry pairs a crystal structure of TbPa2Re with its computed powder diffractogram. Radiation: Cu Kα (λ = 1.5418 Å). Structure: a cell relaxed with PBE.
Peak positions follow from Bragg's law for the DFT cell and can differ from measured ones.

Cell and atoms:
```
data_TbPa2Re
_chemical_formula_sum 'Tb3 Pa6 Re3'
_cell_length_a 3.7807
_cell_length_b 3.7807
_cell_length_c 26.4403
_cell_angle_alpha 90.00
_cell_angle_beta 90.00
_cell_angle_gamma 120.00
_space_group_name_H-M_alt 'R -3 m'
_space_group_IT_number 166
_space_group_name_Hall '-R 3 2"'
loop_
_atom_site_label
_atom_site_type_symbol
_atom_site_fract_x
_atom_site_fract_y
_atom_site_fract_z
Tb1 Tb 0.0000 0.0000 0.0000
Pa1 Pa 0.0000 0.0000 0.2298
Re1 Re 0.0000 0.0000 0.5000
```

Peak list (8 most intense, 2θ = 10–90°, low angle first)
| (hkl) | 2theta | d_spacing | Rel. int. |
| --- | --- | --- | --- |
| 0 0 3 | 10.04 | 8.813 | 26 |
| 1 0 4 | 30.46 | 2.934 | 100 |
| 1 0 7 | 36.31 | 2.474 | 15 |
| 0 1 8 | 38.71 | 2.326 | 30 |
| 1 1 0 | 48.14 | 1.890 | 31 |
| 0 2 4 | 58.03 | 1.589 | 24 |
| 2 1 4 | 78.66 | 1.216 | 13 |
| 1 1 18 | 83.35 | 1.159 | 15 |

Entry 10:
This entry pairs a crystal structure of PaRe8Tc4 with its computed powder diffractogram. Radiation: Cu Kα (λ = 1.5418 Å). Structure: a cell relaxed with PBE.
Peak positions follow from Bragg's law for the DFT cell and can differ from measured ones.

Cell and atoms:
```
data_PaRe8Tc4
_chemical_formula_sum 'Pa3 Re24 Tc12'
_cell_length_a 5.4750
_cell_length_b 5.4750
_cell_length_c 26.9639
_cell_angle_alpha 90.00
_cell_angle_beta 90.00
_cell_angle_gamma 120.00
_space_group_name_H-M_alt 'R -3 m'
_space_group_IT_number 166
_space_group_name_Hall '-R 3 2"'
loop_
_atom_site_label
_atom_site_type_symbol
_atom_site_fract_x
_atom_site_fract_y
_atom_site_fract_z
Pa1 Pa 0.0000 0.0000 0.0000
Re1 Re 0.0000 0.0000 0.2500
Re2 Re 0.0069 0.5035 0.2479
Tc1 Tc 0.0000 0.0000 0.5000
Tc2 Tc 0.0000 0.5000 0.5000
```

Peak list (8 most intense, 2θ = 10–90°, low angle first)
| (hkl) | 2theta | d_spacing | Rel. int. |
| --- | --- | --- | --- |
| 0 0 6 | 19.77 | 4.490 | 39 |
| 2 0 2 | 38.55 | 2.335 | 21 |
| 0 0 12 | 40.13 | 2.247 | 33 |
| 0 2 4 | 40.33 | 2.236 | 100 |
| 2 0 8 | 46.85 | 1.939 | 65 |
| 0 2 16 | 68.29 | 1.374 | 21 |
| 2 2 0 | 68.56 | 1.369 | 21 |
| 2 2 12 | 82.52 | 1.169 | 25 |

Entry 11:
This entry pairs a crystal structure of ThPaReTc with its computed powder diffractogram. Radiation: Cu Kα (λ = 1.5418 Å). Structure: a cell relaxed with PBE.
Peak positions follow from Bragg's law for the DFT cell and can differ from measured ones.

Cell and atoms:
```
data_ThPaReTc
_chemical_formula_sum 'Th4 Pa4 Re4 Tc4'
_cell_length_a 7.031
_cell_length_b 7.031
_cell_length_c 7.031
_cell_angle_alpha 90.00
_cell_angle_beta 90.00
_cell_angle_gamma 90.00
_space_group_name_H-M_alt 'F -4 3 m'
_space_group_IT_number 216
_space_group_name_Hall 'F -4 2 3'
loop_
_atom_site_label
_atom_site_type_symbol
_atom_site_fract_x
_atom_site_fract_y
_atom_site_fract_z
Th1 Th 0.000 0.000 0.000
Pa1 Pa 0.000 0.000 0.500
Re1 Re 0.250 0.250 0.250
Tc1 Tc 0.250 0.250 0.750
```

Peak list (8 most intense, 2θ = 10–90°, low angle first)
| (hkl) | 2theta | d_spacing | Rel. int. |
| --- | --- | --- | --- |
| 1 1 1 | 21.90 | 4.059 | 3 |
| 2 0 0 | 25.34 | 3.515 | 6 |
| 2 2 0 | 36.14 | 2.486 | 100 |
| 4 0 0 | 52.03 | 1.758 | 18 |
| 4 2 0 | 58.73 | 1.572 | 3 |
| 4 2 2 | 64.99 | 1.435 | 37 |
| 4 4 0 | 76.68 | 1.243 | 12 |
| 6 2 0 | 87.82 | 1.112 | 17 |

Entry 12:
This entry pairs a crystal structure of UPaRe with its computed powder diffractogram. Radiation: Cu Kα (λ = 1.5418 Å). Structure: a cell relaxed with PBE.
Peak positions follow from Bragg's law for the DFT cell and can differ from measured ones.

Cell and atoms:
```
data_UPaRe
_chemical_formula_sum 'U4 Pa4 Re4'
_cell_length_a 5.449
_cell_length_b 7.770
_cell_length_c 6.255
_cell_angle_alpha 90.00
_cell_angle_beta 106.98
_cell_angle_gamma 90.00
_space_group_name_H-M_alt 'P 1 21/c 1'
_space_group_IT_number 14
loop_
_space_group_symop_operation_xyz
'x,y,z'
'-x,-y,-z'
'-x,y+1/2,-z+1/2'
'x,-y+1/2,z+1/2'
loop_
_atom_site_label
_atom_site_type_symbol
_atom_site_fract_x
_atom_site_fract_y
_atom_site_fract_z
U1 U 0.162 0.104 0.139
Pa1 Pa 0.269 0.683 0.942
Re1 Re 0.335 0.059 0.766
```

Peak list (8 most intense, 2θ = 10–90°, low angle first)
| (hkl) | 2theta | d_spacing | Rel. int. |
| --- | --- | --- | --- |
| 1 1 -2 | 32.02 | 2.796 | 95 |
| 2 0 0 | 34.42 | 2.606 | 43 |
| 1 2 1 | 34.71 | 2.584 | 100 |
| 2 1 -1 | 35.26 | 2.546 | 40 |
| 1 2 -2 | 37.88 | 2.375 | 26 |
| 0 2 2 | 37.96 | 2.370 | 26 |
| 1 3 0 | 38.83 | 2.319 | 57 |
| 1 3 -1 | 39.82 | 2.264 | 24 |